Simulated X-ray diffraction stick pattern of RePtN4Cl6 for CuKα, from the GGA-PBE geometry in Alexandria.
No peak broadening, texture or thermal motion is included.

Structural model:
Unit cell a=8.243 b=8.243 c=9.420 alpha=90.00 beta=90.00 gamma=86.74
Fractional coordinates of all 24 atoms:
1 Re 0.000 0.000 0.000
2 Re 0.500 0.500 0.500
3 Pt 0.000 0.000 0.500
4 Pt 0.500 0.500 0.000
5 N 0.060 0.150 0.349
6 N 0.150 0.060 0.651
7 N 0.350 0.440 0.151
8 N 0.440 0.350 0.849
9 N 0.560 0.650 0.151
10 N 0.650 0.560 0.849
11 N 0.850 0.940 0.349
12 N 0.940 0.850 0.651
13 Cl 0.001 0.270 0.938
14 Cl 0.092 0.908 0.760
15 Cl 0.230 0.499 0.562
16 Cl 0.270 0.001 0.062
17 Cl 0.408 0.592 0.260
18 Cl 0.499 0.230 0.438
19 Cl 0.501 0.770 0.562
20 Cl 0.592 0.408 0.740
21 Cl 0.730 0.999 0.938
22 Cl 0.770 0.501 0.438
23 Cl 0.908 0.092 0.240
24 Cl 0.999 0.730 0.062

Principal peaks in the range 15 to 90 degrees two-theta, most intense first:
- 15.7 deg, 5.661 Å, intensity 100
- 21.6 deg, 4.115 Å, intensity 87
- 28.8 deg, 3.099 Å, intensity 57
- 18.8 deg, 4.710 Å, intensity 51
- 48.3 deg, 1.885 Å, intensity 43
- 40.1 deg, 2.249 Å, intensity 37
- 24.6 deg, 3.621 Å, intensity 35
- 39.0 deg, 2.308 Å, intensity 30
- 24.0 deg, 3.703 Å, intensity 29
- 44.3 deg, 2.044 Å, intensity 23